No. 1
This entry pairs a crystal structure of Si2Hg with its computed X-ray diffraction stick pattern. Radiation: Cu Kα, 1.54184 Å. Structure: a GGA-PBE-relaxed structure.
Neutral-atom scattering factors, no anomalous dispersion.

Peak list (10 most intense, 2θ = 10–90°, most intense first)
| d [Å] | Rel. int. |
| --- | --- |
| 3.224 | 100 |
| 5.853 | 44 |
| 2.543 | 34 |
| 2.371 | 32 |
| 1.920 | 32 |
| 1.842 | 27 |
| 2.926 | 25 |
| 1.488 | 21 |
| 2.198 | 18 |
| 1.263 | 17 |

Atomic structure:
```
3
Lattice="-1.6768 1.6768 5.8525 1.6768 -1.6768 5.8525 1.6768 1.6768 -5.8525" Properties=species:S:1:pos:R:3 pbc="T T T"
Si 0.0000 0.0000 2.5530
Si 0.0000 0.0000 9.1520
Hg 0.0000 0.0000 0.0000
```

---

No. 2
This entry pairs a crystal structure of NdZn3Ga with its computed X-ray diffraction stick pattern. Radiation: Cu Kα, 1.54184 Å. Structure: a GGA-PBE-relaxed structure.
Neutral-atom scattering factors, no anomalous dispersion.

Peak list (10 most intense, 2θ = 10–90°, most intense first)
| d [Å] | Rel. int. |
| --- | --- |
| 2.616 | 100 |
| 2.714 | 63 |
| 2.129 | 56 |
| 1.893 | 30 |
| 1.675 | 29 |
| 1.415 | 23 |
| 1.305 | 21 |
| 1.506 | 18 |
| 3.011 | 17 |
| 1.122 | 12 |

Atomic structure:
```
5
Lattice="3.0121 -3.0103 0.0000 3.0121 3.0103 0.0000 -3.0080 0.0000 5.2816" Properties=species:S:1:pos:R:3 pbc="T T T"
Nd 0.0000 0.0000 0.0000
Zn 1.5077 1.5089 2.6318
Zn 0.0090 0.0000 4.0134
Zn 1.5077 -1.5089 2.6318
Ga 3.0077 0.0000 1.1883
```

---

Copy entry 2 word for word.
This entry pairs a crystal structure of NdZn3Ga with its computed X-ray diffraction stick pattern. Radiation: Cu Kα, 1.54184 Å. Structure: a GGA-PBE-relaxed structure.
Neutral-atom scattering factors, no anomalous dispersion.

Peak list (10 most intense, 2θ = 10–90°, most intense first)
| d [Å] | Rel. int. |
| --- | --- |
| 2.616 | 100 |
| 2.714 | 63 |
| 2.129 | 56 |
| 1.893 | 30 |
| 1.675 | 29 |
| 1.415 | 23 |
| 1.305 | 21 |
| 1.506 | 18 |
| 3.011 | 17 |
| 1.122 | 12 |

Atomic structure:
```
5
Lattice="3.0121 -3.0103 0.0000 3.0121 3.0103 0.0000 -3.0080 0.0000 5.2816" Properties=species:S:1:pos:R:3 pbc="T T T"
Nd 0.0000 0.0000 0.0000
Zn 1.5077 1.5089 2.6318
Zn 0.0090 0.0000 4.0134
Zn 1.5077 -1.5089 2.6318
Ga 3.0077 0.0000 1.1883
```